Structure and theoretical powder diffraction line list of ZnH2SO5 (a cell relaxed with PBE; copper Kα).
No peak broadening, texture or thermal motion is included.

Cell and atoms:
a b c (Å): 6.833 7.877 7.629
angles (deg): 90.00 115.41 90.00
Space group C2/c (No. 15)
Symmetry-distinct sites (fractional):
Zn 0.250 0.250 0.000
H 0.092 0.044 0.708
S 0.000 0.413 0.250
O 0.000 0.117 0.750
O 0.018 0.306 0.099
O 0.198 0.476 0.838

Largest 10 diffraction maxima, most intense first, 2θ = 10–80°:
2θ (°), I_rel
25.76, 100.0
18.45, 63.3
34.59, 58.9
29.42, 43.0
18.26, 33.4
41.66, 32.4
26.06, 28.5
37.29, 25.8
53.85, 19.7
26.17, 18.8

=====

Structure and theoretical powder diffraction line list of Zn7H10S2O18 (a cell relaxed with PBE; copper Kα).
No peak broadening, texture or thermal motion is included.

Cell and atoms:
a b c (Å): 5.574 8.085 9.124
angles (deg): 67.08 85.61 84.48
Space group P-1 (No. 2)
Symmetry-distinct sites (fractional):
Zn 0.000 0.000 0.000
Zn 0.003 0.341 0.666
Zn 0.462 0.652 0.607
Zn 0.494 0.812 0.192
H 0.113 0.320 0.400
H 0.221 0.896 0.400
H 0.223 0.658 0.070
H 0.234 0.989 0.750
H 0.257 0.444 0.849
S 0.288 0.223 0.175
O 0.097 0.159 0.302
O 0.185 0.400 0.441
O 0.197 0.087 0.789
O 0.197 0.751 0.116
O 0.235 0.408 0.061
O 0.291 0.777 0.408
O 0.298 0.435 0.745
O 0.320 0.098 0.084
O 0.474 0.793 0.748

Largest 10 diffraction maxima, most intense first, 2θ = 10–80°:
2θ (°), I_rel
12.51, 100.0
32.55, 44.1
33.45, 31.4
34.64, 24.6
36.59, 21.7
28.47, 17.6
57.75, 17.5
58.21, 14.5
23.96, 14.5
21.37, 14.1

=====

Structure and theoretical powder diffraction line list of Sb2HO3 (a cell relaxed with PBE; copper Kα).
No peak broadening, texture or thermal motion is included.

Cell and atoms:
a b c (Å): 12.015 5.961 5.655
angles (deg): 90.00 90.00 90.00
Space group Cmc2_1 (No. 36)
Symmetry-distinct sites (fractional):
Sb 0.153 0.220 0.000
H 0.000 0.060 0.693
O 0.000 0.349 0.027
O 0.100 0.054 0.698

Largest 10 diffraction maxima, most intense first, 2θ = 10–80°:
2θ (°), I_rel
22.91, 100.0
31.21, 97.1
31.65, 27.0
44.15, 24.9
29.98, 23.9
29.74, 22.3
56.09, 19.1
54.01, 18.2
58.27, 17.6
51.39, 16.5

=====

Structure and theoretical powder diffraction line list of Ti6Sb2HO (a cell relaxed with PBE; copper Kα).
No peak broadening, texture or thermal motion is included.

Cell and atoms:
a b c (Å): 8.248 8.281 8.548
angles (deg): 90.00 90.00 90.00
Space group Fmmm (No. 69)
Symmetry-distinct sites (fractional):
Ti 0.000 0.000 0.247
Ti 0.000 0.247 0.000
Ti 0.247 0.000 0.000
Sb 0.250 0.250 0.250
H 0.000 0.000 0.000
O 0.000 0.000 0.500

Largest 10 diffraction maxima, most intense first, 2θ = 10–80°:
2θ (°), I_rel
37.28, 100.0
42.29, 19.7
30.08, 18.9
43.72, 17.7
43.91, 17.5
21.50, 12.3
74.03, 12.1
62.46, 11.4
62.60, 11.3
76.05, 11.2

=====

Structure and theoretical powder diffraction line list of Sc2H6Se3O12 (a cell relaxed with PBE; copper Kα).
No peak broadening, texture or thermal motion is included.

Cell and atoms:
a b c (Å): 9.7787 9.7787 21.1041
angles (deg): 90.00 90.00 120.00
Space group R3c (No. 161, hexagonal axes)
Symmetry-distinct sites (fractional):
Sc 0.0000 0.0000 0.0000
Sc 0.0000 0.0000 0.2352
H 0.1145 0.3624 0.4603
H 0.2039 0.0843 0.3441
Se 0.0543 0.4997 0.2855
O 0.0377 0.1899 0.0571
O 0.0446 0.1953 0.1836
O 0.1747 0.4613 0.1123
O 0.1970 0.0683 0.8033

Largest 10 diffraction maxima, most intense first, 2θ = 10–80°:
2θ (°), I_rel
22.63, 100.0
27.00, 70.9
13.41, 67.2
32.72, 41.3
29.15, 38.1
25.32, 23.6
51.10, 14.1
31.70, 13.5
59.05, 13.4
35.19, 12.5